Starting from a DFT-relaxed cell (PBE, Alexandria), the X-ray powder pattern of Sc2ReOs was simulated for Cu Kα (λ = 1.5418 Å).
Peak positions follow from Bragg's law for the DFT cell and can differ from measured ones.

Atomic structure:
```
data_Sc2ReOs
_chemical_formula_sum 'Sc4 Re2 Os2'
_cell_length_a 3.156
_cell_length_b 4.538
_cell_length_c 9.632
_cell_angle_alpha 90.00
_cell_angle_beta 90.00
_cell_angle_gamma 90.00
_space_group_name_H-M_alt 'P 1'
_space_group_IT_number 1
loop_
_space_group_symop_operation_xyz
'x,y,z'
loop_
_atom_site_label
_atom_site_type_symbol
_atom_site_fract_x
_atom_site_fract_y
_atom_site_fract_z
Sc1 Sc 0.000 0.000 0.000
Sc2 Sc 0.000 0.500 0.225
Sc3 Sc 0.500 0.000 0.725
Sc4 Sc 0.500 0.500 0.500
Re1 Re 0.000 0.000 0.471
Re2 Re 0.500 0.500 0.971
Os1 Os 0.000 0.500 0.751
Os2 Os 0.500 0.000 0.251
```

Peak list (8 most intense, 5° ≤ 2θ ≤ 70°, in order of rising 2θ)
2theta, I_rel, index
21.6, 57.5, 0 1 1
29.8, 14.4, 1 0 1
37.3, 26.3, 0 0 4
39.5, 100.0, 1 1 2
39.7, 25.5, 0 2 0
40.1, 18.4, 1 0 3
55.7, 16.4, 0 2 4
68.8, 14.4, 1 1 6